(1)
Diffraction record for ScCdSnHg. The powder diffractogram is theoretical, not measured: it uses a DFT-relaxed cell (PBE, Alexandria) and a wavelength of 1.5418 Å.

The 8 most intense peaks (10 to 80 degrees two-theta), in order of rising 2θ:
| 2θ/deg | I_rel | index |
| --- | --- | --- |
| 34.8 | 100 | 1 1 1 |
| 37.7 | 20 | 0 0 2 |
| 41.0 | 16 | 0 2 0 |
| 42.4 | 14 | 2 0 0 |
| 56.9 | 12 | 0 2 2 |
| 66.2 | 15 | 1 1 3 |
| 70.6 | 13 | 1 3 1 |
| 73.5 | 12 | 2 2 2 |

Structural model:
```
data_ScCdSnHg
_space_group_name_H-M_alt 'P m m m'
_space_group_IT_number 47
_space_group_name_Hall '-P 2 2'
_cell_length_a 4.262
_cell_length_b 4.407
_cell_length_c 4.771
_cell_angle_alpha 90.00
_cell_angle_beta 90.00
_cell_angle_gamma 90.00
loop_
_atom_site_label
_atom_site_type_symbol
_atom_site_fract_x
_atom_site_fract_y
_atom_site_fract_z
_atom_site_occupancy
Sc1 Sc 0.000 0.000 0.000 1
Cd1 Cd 0.000 0.500 0.500 1
Sn1 Sn 0.500 0.500 0.000 1
Hg1 Hg 0.500 0.000 0.500 1
```


(2)
Diffraction record for Cd2HgSe3. The powder diffractogram is theoretical, not measured: it uses a DFT-relaxed cell (PBE, Alexandria) and a wavelength of 1.5418 Å.

The 8 most intense peaks (10 to 80 degrees two-theta), in order of rising 2θ:
| 2θ/deg | I_rel | index |
| --- | --- | --- |
| 14.0 | 3 | 1 1 0 |
| 24.8 | 100 | 2 0 0 |
| 28.7 | 8 | 1 3 1 |
| 41.1 | 73 | 2 0 2 |
| 48.6 | 48 | 2 6 0 |
| 59.5 | 12 | 2 6 2 |
| 65.4 | 20 | 4 0 2 |
| 74.8 | 24 | 5 3 1 |

Structural model:
```
data_Cd2HgSe3
_space_group_name_H-M_alt 'C 1 c 1'
_space_group_IT_number 9
_space_group_name_Hall 'C -2yc'
_cell_length_a 7.616
_cell_length_b 13.192
_cell_length_c 7.617
_cell_angle_alpha 90.00
_cell_angle_beta 109.50
_cell_angle_gamma 90.00
loop_
_atom_site_label
_atom_site_type_symbol
_atom_site_fract_x
_atom_site_fract_y
_atom_site_fract_z
_atom_site_occupancy
Cd1 Cd 0.000 0.083 0.000 1
Cd2 Cd 0.001 0.250 0.500 1
Hg1 Hg 0.001 0.415 0.000 1
Se1 Se 0.374 0.084 0.123 1
Se2 Se 0.375 0.252 0.626 1
Se3 Se 0.378 0.416 0.126 1
```


(3)
Diffraction record for CdHgSe2. The powder diffractogram is theoretical, not measured: it uses a DFT-relaxed cell (PBE, Alexandria) and a wavelength of 1.5418 Å.

The 8 most intense peaks (10 to 80 degrees two-theta), in order of rising 2θ:
| 2θ/deg | I_rel | index |
| --- | --- | --- |
| 16.1 | 40 | 1 1 0 |
| 20.0 | 30 | 0 2 1 |
| 24.8 | 37 | 1 2 1 |
| 29.5 | 100 | 1 3 1 |
| 33.1 | 25 | 1 1 2 |
| 35.6 | 32 | 2 2 1 |
| 41.3 | 45 | 2 0 2 |
| 51.3 | 19 | 1 3 3 |

Structural model:
```
data_CdHgSe2
_space_group_name_H-M_alt 'P b c n'
_space_group_IT_number 60
_space_group_name_Hall '-P 2n 2ab'
_cell_length_a 6.129
_cell_length_b 12.629
_cell_length_c 6.223
_cell_angle_alpha 90.00
_cell_angle_beta 90.00
_cell_angle_gamma 90.00
loop_
_atom_site_label
_atom_site_type_symbol
_atom_site_fract_x
_atom_site_fract_y
_atom_site_fract_z
_atom_site_occupancy
Cd1 Cd 0.000 0.247 0.250 1
Hg1 Hg 0.000 0.402 0.750 1
Se1 Se 0.219 0.122 0.538 1
```


(4)
Diffraction record for Cd2SiHg. The powder diffractogram is theoretical, not measured: it uses a DFT-relaxed cell (PBE, Alexandria) and a wavelength of 1.5418 Å.

The 8 most intense peaks (10 to 80 degrees two-theta), in order of rising 2θ:
| 2θ/deg | I_rel | index |
| --- | --- | --- |
| 14.1 | 33 | 0 0 2 |
| 27.6 | 68 | 0 1 3 |
| 28.4 | 30 | 0 0 4 |
| 35.4 | 38 | 0 2 0 |
| 38.6 | 100 | 1 1 2 |
| 48.0 | 23 | 1 0 5 |
| 61.0 | 22 | 1 2 5 |
| 65.7 | 20 | 1 3 2 |

Structural model:
```
data_Cd2SiHg
_space_group_name_H-M_alt 'I m m 2'
_space_group_IT_number 44
_space_group_name_Hall 'I 2 -2'
_cell_length_a 2.891
_cell_length_b 5.069
_cell_length_c 12.553
_cell_angle_alpha 90.00
_cell_angle_beta 90.00
_cell_angle_gamma 90.00
loop_
_atom_site_label
_atom_site_type_symbol
_atom_site_fract_x
_atom_site_fract_y
_atom_site_fract_z
_atom_site_occupancy
Cd1 Cd 0.000 0.000 0.000 1
Cd2 Cd 0.000 0.500 0.227 1
Si1 Si 0.000 0.000 0.526 1
Hg1 Hg 0.000 0.500 0.807 1
```


(5)
Diffraction record for CdSiSnHg. The powder diffractogram is theoretical, not measured: it uses a DFT-relaxed cell (PBE, Alexandria) and a wavelength of 1.5418 Å.

The 8 most intense peaks (10 to 80 degrees two-theta), in order of rising 2θ:
| 2θ/deg | I_rel | index |
| --- | --- | --- |
| 27.7 | 100 | 0 1 1 |
| 28.8 | 90 | 1 1 -1 |
| 32.0 | 71 | 1 0 1 |
| 34.8 | 42 | 2 0 -1 |
| 42.9 | 24 | 0 2 0 |
| 45.1 | 54 | 2 1 0 |
| 53.8 | 27 | 1 1 2 |
| 54.5 | 32 | 1 2 1 |

Structural model:
```
data_CdSiSnHg
_space_group_name_H-M_alt 'P 1 m 1'
_space_group_IT_number 6
_space_group_name_Hall 'P -2y'
_cell_length_a 5.154
_cell_length_b 4.216
_cell_length_c 5.614
_cell_angle_alpha 90.00
_cell_angle_beta 117.18
_cell_angle_gamma 90.00
loop_
_atom_site_label
_atom_site_type_symbol
_atom_site_fract_x
_atom_site_fract_y
_atom_site_fract_z
_atom_site_occupancy
Cd1 Cd 0.000 0.000 0.000 1
Si1 Si 0.204 0.500 0.404 1
Sn1 Sn 0.367 0.000 0.732 1
Hg1 Hg 0.653 0.500 0.303 1
```


(6)
Diffraction record for Sm6Cd5Hg. The powder diffractogram is theoretical, not measured: it uses a DFT-relaxed cell (PBE, Alexandria) and a wavelength of 1.5418 Å.

The 8 most intense peaks (10 to 80 degrees two-theta), in order of rising 2θ:
| 2θ/deg | I_rel | index |
| --- | --- | --- |
| 33.2 | 100 | 1 3 2 |
| 33.4 | 49 | 2 0 0 |
| 47.4 | 9 | 0 0 4 |
| 47.9 | 18 | 2 6 0 |
| 59.2 | 19 | 2 0 4 |
| 59.5 | 37 | 3 3 2 |
| 69.7 | 11 | 2 6 4 |
| 79.8 | 12 | 3 9 2 |

Structural model:
```
data_Sm6Cd5Hg
_space_group_name_H-M_alt 'C m m m'
_space_group_IT_number 65
_space_group_name_Hall '-C 2 2'
_cell_length_a 5.367
_cell_length_b 16.110
_cell_length_c 7.671
_cell_angle_alpha 90.00
_cell_angle_beta 90.00
_cell_angle_gamma 90.00
loop_
_atom_site_label
_atom_site_type_symbol
_atom_site_fract_x
_atom_site_fract_y
_atom_site_fract_z
_atom_site_occupancy
Sm1 Sm 0.000 0.000 0.248 1
Sm2 Sm 0.000 0.334 0.250 1
Cd1 Cd 0.000 0.167 0.500 1
Cd2 Cd 0.000 0.170 0.000 1
Cd3 Cd 0.000 0.500 0.500 1
Hg1 Hg 0.000 0.500 0.000 1
```


(7)
Diffraction record for Sm2CdHg3. The powder diffractogram is theoretical, not measured: it uses a DFT-relaxed cell (PBE, Alexandria) and a wavelength of 1.5418 Å.

The 8 most intense peaks (10 to 80 degrees two-theta), in order of rising 2θ:
| 2θ/deg | I_rel | index |
| --- | --- | --- |
| 25.4 | 13 | 2 0 0 |
| 32.9 | 100 | 2 2 2 |
| 36.0 | 94 | 0 4 0 |
| 44.5 | 18 | 2 4 0 |
| 49.5 | 32 | 2 4 4 |
| 62.7 | 31 | 2 6 2 |
| 64.7 | 17 | 0 6 6 |
| 65.0 | 34 | 4 4 0 |

Structural model:
```
data_Sm2CdHg3
_space_group_name_H-M_alt 'F m m m'
_space_group_IT_number 69
_space_group_name_Hall '-F 2 2'
_cell_length_a 7.015
_cell_length_b 9.978
_cell_length_c 17.313
_cell_angle_alpha 90.00
_cell_angle_beta 90.00
_cell_angle_gamma 90.00
loop_
_atom_site_label
_atom_site_type_symbol
_atom_site_fract_x
_atom_site_fract_y
_atom_site_fract_z
_atom_site_occupancy
Sm1 Sm 0.247 0.000 0.000 1
Sm2 Sm 0.250 0.250 0.250 1
Cd1 Cd 0.000 0.000 0.333 1
Hg1 Hg 0.000 0.000 0.168 1
Hg2 Hg 0.000 0.247 0.416 1
```


(8)
Diffraction record for Sm4CdHg5. The powder diffractogram is theoretical, not measured: it uses a DFT-relaxed cell (PBE, Alexandria) and a wavelength of 1.5418 Å.

The 8 most intense peaks (10 to 80 degrees two-theta), in order of rising 2θ:
| 2θ/deg | I_rel | index |
| --- | --- | --- |
| 33.5 | 53 | 1 1 0 |
| 33.9 | 100 | 1 0 5 |
| 48.1 | 20 | 2 0 0 |
| 49.3 | 8 | 0 0 10 |
| 60.2 | 39 | 2 1 5 |
| 61.0 | 17 | 1 1 10 |
| 70.4 | 6 | 2 2 0 |
| 71.4 | 11 | 2 0 10 |

Structural model:
```
data_Sm4CdHg5
_space_group_name_H-M_alt 'P 4/m m m'
_space_group_IT_number 123
_space_group_name_Hall '-P 4 2'
_cell_length_a 3.782
_cell_length_b 3.782
_cell_length_c 18.469
_cell_angle_alpha 90.00
_cell_angle_beta 90.00
_cell_angle_gamma 90.00
loop_
_atom_site_label
_atom_site_type_symbol
_atom_site_fract_x
_atom_site_fract_y
_atom_site_fract_z
_atom_site_occupancy
Sm1 Sm 0.000 0.000 0.103 1
Sm2 Sm 0.000 0.000 0.309 1
Cd1 Cd 0.000 0.000 0.500 1
Hg1 Hg 0.500 0.500 0.000 1
Hg2 Hg 0.500 0.500 0.204 1
Hg3 Hg 0.500 0.500 0.408 1
```


(9)
Diffraction record for Sm2Cd16Hg. The powder diffractogram is theoretical, not measured: it uses a DFT-relaxed cell (PBE, Alexandria) and a wavelength of 1.5418 Å.

The 8 most intense peaks (10 to 80 degrees two-theta), in order of rising 2θ:
| 2θ/deg | I_rel | index |
| --- | --- | --- |
| 30.7 | 46 | 3 0 0 |
| 31.5 | 33 | 0 2 4 |
| 35.6 | 70 | 2 2 0 |
| 35.7 | 100 | 0 3 3 |
| 36.0 | 35 | 0 0 6 |
| 36.4 | 41 | 2 0 5 |
| 40.0 | 69 | 2 2 3 |
| 63.9 | 27 | 6 0 0 |

Structural model:
```
data_Sm2Cd16Hg
_space_group_name_H-M_alt 'R 3 m'
_space_group_IT_number 160
_space_group_name_Hall 'R 3 -2"'
_cell_length_a 10.0939
_cell_length_b 10.0939
_cell_length_c 14.9516
_cell_angle_alpha 90.00
_cell_angle_beta 90.00
_cell_angle_gamma 120.00
loop_
_atom_site_label
_atom_site_type_symbol
_atom_site_fract_x
_atom_site_fract_y
_atom_site_fract_z
_atom_site_occupancy
Sm1 Sm 0.0000 0.0000 0.0000 1
Sm2 Sm 0.0000 0.0000 0.3421 1
Cd1 Cd 0.0000 0.0000 0.5762 1
Cd2 Cd 0.0007 0.3016 0.6710 1
Cd3 Cd 0.0079 0.5039 0.1698 1
Cd4 Cd 0.0174 0.5087 0.8183 1
Cd5 Cd 0.1743 0.3486 0.8578 1
Hg1 Hg 0.0000 0.0000 0.7822 1
```


(10)
Diffraction record for SmCd5Hg4. The powder diffractogram is theoretical, not measured: it uses a DFT-relaxed cell (PBE, Alexandria) and a wavelength of 1.5418 Å.

The 8 most intense peaks (10 to 80 degrees two-theta), in order of rising 2θ:
| 2θ/deg | I_rel | index |
| --- | --- | --- |
| 24.9 | 13 | 1 1 1 |
| 25.3 | 29 | 3 1 0 |
| 35.9 | 97 | 6 0 0 |
| 36.2 | 100 | 0 2 0 |
| 52.0 | 23 | 6 2 0 |
| 64.4 | 15 | 7 1 2 |
| 64.9 | 31 | 1 3 2 |
| 65.1 | 16 | 5 3 -2 |

Structural model:
```
data_SmCd5Hg4
_space_group_name_H-M_alt 'C 1 2/m 1'
_space_group_IT_number 12
_space_group_name_Hall '-C 2y'
_cell_length_a 16.503
_cell_length_b 4.959
_cell_length_c 7.058
_cell_angle_alpha 90.00
_cell_angle_beta 114.70
_cell_angle_gamma 90.00
loop_
_atom_site_label
_atom_site_type_symbol
_atom_site_fract_x
_atom_site_fract_y
_atom_site_fract_z
_atom_site_occupancy
Sm1 Sm 0.000 0.000 0.000 1
Cd1 Cd 0.000 0.000 0.500 1
Cd2 Cd 0.158 0.500 0.156 1
Cd3 Cd 0.180 0.000 0.447 1
Hg1 Hg 0.004 0.500 0.285 1
Hg2 Hg 0.176 0.000 0.906 1
```


(11)
Diffraction record for Sm3Cd3Hg2. The powder diffractogram is theoretical, not measured: it uses a DFT-relaxed cell (PBE, Alexandria) and a wavelength of 1.5418 Å.

The 8 most intense peaks (10 to 80 degrees two-theta), in order of rising 2θ:
| 2θ/deg | I_rel | index |
| --- | --- | --- |
| 31.9 | 100 | 1 1 1 |
| 34.5 | 93 | 2 1 0 |
| 39.3 | 24 | 3 0 0 |
| 41.6 | 19 | 2 1 1 |
| 45.9 | 16 | 0 0 2 |
| 58.7 | 21 | 2 1 2 |
| 63.5 | 15 | 3 2 1 |
| 66.6 | 21 | 4 1 1 |

Structural model:
```
data_Sm3Cd3Hg2
_space_group_name_H-M_alt 'P -6 2 m'
_space_group_IT_number 189
_space_group_name_Hall 'P -6 -2'
_cell_length_a 7.9437
_cell_length_b 7.9437
_cell_length_c 3.9519
_cell_angle_alpha 90.00
_cell_angle_beta 90.00
_cell_angle_gamma 120.00
loop_
_atom_site_label
_atom_site_type_symbol
_atom_site_fract_x
_atom_site_fract_y
_atom_site_fract_z
_atom_site_occupancy
Sm1 Sm 0.0000 0.6032 0.0000 1
Cd1 Cd 0.0000 0.2267 0.5000 1
Hg1 Hg 0.3333 0.6667 0.5000 1
```


(12)
Diffraction record for Sm2Cd15Hg2. The powder diffractogram is theoretical, not measured: it uses a DFT-relaxed cell (PBE, Alexandria) and a wavelength of 1.5418 Å.

The 8 most intense peaks (10 to 80 degrees two-theta), in order of rising 2θ:
| 2θ/deg | I_rel | index |
| --- | --- | --- |
| 30.6 | 59 | 3 0 0 |
| 31.5 | 41 | 0 2 4 |
| 35.5 | 85 | 2 2 0 |
| 35.6 | 100 | 0 3 3 |
| 36.1 | 33 | 0 0 6 |
| 36.4 | 52 | 2 0 5 |
| 40.0 | 79 | 2 2 3 |
| 64.6 | 33 | 0 3 9 |

Structural model:
```
data_Sm2Cd15Hg2
_space_group_name_H-M_alt 'R -3 m'
_space_group_IT_number 166
_space_group_name_Hall '-R 3 2"'
_cell_length_a 10.1147
_cell_length_b 10.1147
_cell_length_c 14.9345
_cell_angle_alpha 90.00
_cell_angle_beta 90.00
_cell_angle_gamma 120.00
loop_
_atom_site_label
_atom_site_type_symbol
_atom_site_fract_x
_atom_site_fract_y
_atom_site_fract_z
_atom_site_occupancy
Sm1 Sm 0.0000 0.0000 0.1726 1
Cd1 Cd 0.0000 0.3018 0.5000 1
Cd2 Cd 0.0000 0.5000 0.0000 1
Cd3 Cd 0.0178 0.5089 0.6469 1
Hg1 Hg 0.0000 0.0000 0.3948 1
```


(13)
Diffraction record for Sm6CdHg3. The powder diffractogram is theoretical, not measured: it uses a DFT-relaxed cell (PBE, Alexandria) and a wavelength of 1.5418 Å.

The 8 most intense peaks (10 to 80 degrees two-theta), in order of rising 2θ:
| 2θ/deg | I_rel | index |
| --- | --- | --- |
| 32.1 | 39 | 2 0 -4 |
| 33.0 | 100 | 1 1 3 |
| 33.1 | 91 | 3 1 -1 |
| 33.4 | 56 | 0 2 0 |
| 36.3 | 18 | 2 1 -4 |
| 46.9 | 28 | 2 2 -4 |
| 59.4 | 36 | 1 3 3 |
| 59.6 | 16 | 4 2 2 |

Structural model:
```
data_Sm6CdHg3
_space_group_name_H-M_alt 'P 1 21/m 1'
_space_group_IT_number 11
_space_group_name_Hall '-P 2yb'
_cell_length_a 9.405
_cell_length_b 5.371
_cell_length_c 11.811
_cell_angle_alpha 90.00
_cell_angle_beta 107.38
_cell_angle_gamma 90.00
loop_
_atom_site_label
_atom_site_type_symbol
_atom_site_fract_x
_atom_site_fract_y
_atom_site_fract_z
_atom_site_occupancy
Sm1 Sm 0.030 0.250 0.406 1
Sm2 Sm 0.155 0.750 0.182 1
Sm3 Sm 0.243 0.250 0.001 1
Sm4 Sm 0.345 0.750 0.810 1
Sm5 Sm 0.372 0.250 0.344 1
Sm6 Sm 0.399 0.250 0.621 1
Cd1 Cd 0.453 0.750 0.098 1
Hg1 Hg 0.032 0.750 0.880 1
Hg2 Hg 0.124 0.250 0.717 1
Hg3 Hg 0.274 0.750 0.474 1
```